Diffraction record for Y2GeO5. The XRD peak list is calculated, not measured: it uses a cell relaxed with PBE and Cu Ka.
Kinematic intensities with the Lorentz-polarization factor, no thermal factor.

Most intense lines, 5° ≤ 2θ ≤ 70°, low angle first:
two_theta  I/Imax
29.84  100
30.19  99
33.32  25
34.47  24
36.54  17
48.69  38
50.73  10
51.11  14
57.20  16
57.82  18
58.92  13
59.12  16

Crystal structure
```
Y2GeO5
1.0
5.8765 -2.6020 0.0000
5.8765 2.6020 0.0000
-2.9044 0.0000 6.7525
Y Ge O
4 2 10
direct
0.1223 0.1726 0.2856
0.1726 0.1223 0.7856
0.8274 0.8777 0.2144
0.8777 0.8274 0.7144
0.5000 0.5000 0.0000
0.5000 0.5000 0.5000
0.1226 0.7184 0.0254
0.1694 0.5056 0.3731
0.2816 0.8774 0.4746
0.3439 0.6561 0.7500
0.4944 0.8306 0.1269
0.5056 0.1694 0.8731
0.6561 0.3439 0.2500
0.7184 0.1226 0.5254
0.8306 0.4944 0.6269
0.8774 0.2816 0.9746
```

---

Diffraction record for Y2GeO5. The XRD peak list is calculated, not measured: it uses a cell relaxed with PBE and Cu Ka.
Kinematic intensities with the Lorentz-polarization factor, no thermal factor.

Most intense lines, 5° ≤ 2θ ≤ 70°, low angle first:
two_theta  I/Imax
17.11  6
25.47  13
29.54  100
34.06  18
35.18  7
35.53  9
48.84  13
49.36  21
49.88  10
56.02  8
58.14  12
61.94  6

Crystal structure
```
Y2GeO5
1.0
10.3618 0.0000 0.0000
0.0000 3.7297 0.0000
0.0000 0.0000 11.1440
Y Ge O
8 4 20
direct
0.1101 0.2500 0.2232
0.1358 0.2500 0.5572
0.3642 0.7500 0.0572
0.3899 0.7500 0.7232
0.6101 0.2500 0.2768
0.6358 0.2500 0.9428
0.8642 0.7500 0.4428
0.8899 0.7500 0.7768
0.1746 0.2500 0.8809
0.3254 0.7500 0.3809
0.6746 0.2500 0.6191
0.8254 0.7500 0.1191
0.0072 0.7500 0.6035
0.0093 0.2500 0.8420
0.2228 0.2500 0.0387
0.2310 0.7500 0.8839
0.2420 0.7500 0.2340
0.2580 0.2500 0.7340
0.2690 0.2500 0.3839
0.2772 0.7500 0.5387
0.4907 0.7500 0.3420
0.4928 0.2500 0.1035
0.5072 0.7500 0.8965
0.5093 0.2500 0.6580
0.7228 0.2500 0.4613
0.7310 0.7500 0.6161
0.7420 0.7500 0.2660
0.7580 0.2500 0.7660
0.7690 0.2500 0.1161
0.7772 0.7500 0.9613
0.9907 0.7500 0.1580
0.9928 0.2500 0.3965
```

---

Diffraction record for Y2GeO5. The XRD peak list is calculated, not measured: it uses a cell relaxed with PBE and Cu Ka.
Kinematic intensities with the Lorentz-polarization factor, no thermal factor.

Most intense lines, 5° ≤ 2θ ≤ 70°, low angle first:
two_theta  I/Imax
21.95  25
23.62  33
24.24  68
27.63  87
28.89  75
29.38  26
29.76  100
33.40  24
33.64  35
36.39  23
39.74  21
47.68  22

Crystal structure
```
Y2GeO5
1.0
7.5095 -3.4587 0.0000
7.5095 3.4587 0.0000
-5.5881 0.0000 8.9887
Y Ge O
8 4 20
direct
0.0111 0.2645 0.8377
0.2064 0.7230 0.5343
0.2645 0.0111 0.3377
0.2770 0.7936 0.9657
0.7230 0.2064 0.0343
0.7355 0.9889 0.6623
0.7936 0.2770 0.4657
0.9889 0.7355 0.1623
0.2205 0.4097 0.6921
0.4097 0.2205 0.1921
0.5903 0.7795 0.8079
0.7795 0.5903 0.3079
0.0410 0.3513 0.6761
0.0810 0.8859 0.1031
0.0862 0.6802 0.6761
0.1141 0.9190 0.3969
0.2195 0.3707 0.0554
0.3198 0.9138 0.8239
0.3513 0.0410 0.1761
0.3707 0.2195 0.5554
0.4090 0.4233 0.8671
0.4233 0.4090 0.3671
0.5767 0.5910 0.6329
0.5910 0.5767 0.1329
0.6293 0.7805 0.4446
0.6487 0.9590 0.8239
0.6802 0.0862 0.1761
0.7805 0.6293 0.9446
0.8859 0.0810 0.6031
0.9138 0.3198 0.3239
0.9190 0.1141 0.8969
0.9590 0.6487 0.3239
```

---

Diffraction record for ZnGeO3. The XRD peak list is calculated, not measured: it uses a cell relaxed with PBE and Cu Ka.
Kinematic intensities with the Lorentz-polarization factor, no thermal factor.

Most intense lines, 5° ≤ 2θ ≤ 70°, low angle first:
two_theta  I/Imax
18.90  6
23.97  26
32.66  100
35.59  85
38.01  12
40.60  13
49.08  38
53.05  6
53.31  39
56.35  7
62.08  34
63.92  31

Crystal structure
```
ZnGeO3
1.0
2.5227 1.4565 4.6942
-2.5227 1.4565 4.6942
0.0000 -2.9129 4.6942
Zn Ge O
2 2 6
direct
0.1316 0.1316 0.1316
0.8684 0.8684 0.8684
0.3437 0.3437 0.3437
0.6563 0.6563 0.6563
0.0609 0.4536 0.7142
0.2858 0.9391 0.5464
0.4536 0.7142 0.0609
0.5464 0.2858 0.9391
0.7142 0.0609 0.4536
0.9391 0.5464 0.2858
```

---

Diffraction record for ZnGeO3. The XRD peak list is calculated, not measured: it uses a cell relaxed with PBE and Cu Ka.
Kinematic intensities with the Lorentz-polarization factor, no thermal factor.

Most intense lines, 5° ≤ 2θ ≤ 70°, low angle first:
two_theta  I/Imax
24.23  13
33.82  100
35.24  80
40.88  11
43.23  1
49.64  45
55.01  21
55.55  1
56.95  1
59.57  14
62.33  37
63.24  28

Crystal structure
```
ZnGeO3
1.0
2.5469 1.4704 4.4210
-2.5469 1.4704 4.4210
0.0000 -2.9409 4.4210
Zn Ge O
2 2 6
direct
0.0000 0.0000 0.0000
0.5000 0.5000 0.5000
0.2236 0.2236 0.2236
0.7236 0.7236 0.7236
0.0873 0.8490 0.4498
0.3490 0.5873 0.9498
0.4498 0.0873 0.8490
0.5873 0.9498 0.3490
0.8490 0.4498 0.0873
0.9498 0.3490 0.5873
```

---

Diffraction record for ZnGeO3. The XRD peak list is calculated, not measured: it uses a cell relaxed with PBE and Cu Ka.
Kinematic intensities with the Lorentz-polarization factor, no thermal factor.

Most intense lines, 5° ≤ 2θ ≤ 70°, low angle first:
two_theta  I/Imax
23.91  4
34.07  100
42.05  4
48.94  38
55.18  1
60.98  37

Crystal structure
```
ZnGeO3
1.0
3.7220 0.0000 0.0000
0.0000 3.7220 0.0000
0.0000 0.0000 3.7220
Zn Ge O
1 1 3
direct
0.0000 0.0000 0.0000
0.5000 0.5000 0.5000
0.0000 0.5000 0.5000
0.5000 0.0000 0.5000
0.5000 0.5000 0.0000
```

---

Diffraction record for ZrGeO2. The XRD peak list is calculated, not measured: it uses a cell relaxed with PBE and Cu Ka.
Kinematic intensities with the Lorentz-polarization factor, no thermal factor.

Most intense lines, 5° ≤ 2θ ≤ 70°, low angle first:
two_theta  I/Imax
15.92  9
32.03  1
32.17  100
32.70  39
39.44  57
43.62  1
52.14  39
57.01  18
58.03  28
66.98  26
67.29  18
68.53  3

Crystal structure
```
ZrGeO2
1.0
-3.2308 3.2308 5.4773
3.2308 -3.2308 5.4773
3.2308 3.2308 -5.4773
Zr Ge O
4 4 8
direct
0.0000 0.0000 0.0000
0.0000 0.0000 0.5000
0.0000 0.5000 0.0000
0.5000 0.0000 0.5000
0.0000 0.5000 0.5000
0.5000 0.0000 0.0000
0.5000 0.5000 0.0000
0.5000 0.5000 0.5000
0.1783 0.2012 0.9771
0.2012 0.1783 0.4771
0.2012 0.7241 0.0229
0.2759 0.7988 0.4771
0.7241 0.2012 0.5229
0.7988 0.2759 0.9771
0.7988 0.8217 0.5229
0.8217 0.7988 0.0229
```

---

Diffraction record for Ge2Os. The XRD peak list is calculated, not measured: it uses a cell relaxed with PBE and Cu Ka.
Kinematic intensities with the Lorentz-polarization factor, no thermal factor.

Most intense lines, 5° ≤ 2θ ≤ 70°, low angle first:
two_theta  I/Imax
19.63  62
31.16  41
35.65  100
39.89  51
42.67  47
43.56  37
44.48  48
44.82  54
45.69  36
46.21  31
47.88  37
58.97  27

Crystal structure
```
Ge2Os
1.0
4.5515 -1.5663 0.0000
4.5515 1.5663 0.0000
-3.7961 0.0000 6.7798
Ge Os
4 2
direct
0.1008 0.1008 0.3885
0.3561 0.3561 0.9678
0.6439 0.6439 0.0322
0.8992 0.8992 0.6115
0.3458 0.3458 0.2990
0.6542 0.6542 0.7010
```

---

Diffraction record for Ge3Os2. The XRD peak list is calculated, not measured: it uses a cell relaxed with PBE and Cu Ka.
Kinematic intensities with the Lorentz-polarization factor, no thermal factor.

Most intense lines, 5° ≤ 2θ ≤ 70°, low angle first:
two_theta  I/Imax
24.43  60
30.75  34
35.84  14
36.17  15
39.66  100
44.04  34
44.60  57
51.00  38
60.74  10
61.64  7
64.48  21
69.62  13

Crystal structure
```
Ge3Os2
1.0
11.6281 0.0000 0.0000
0.0000 9.3467 0.0000
0.0000 0.0000 5.8180
Ge Os
24 16
direct
0.0732 0.2135 0.0420
0.0732 0.7865 0.5420
0.1319 0.3948 0.6001
0.1319 0.6052 0.1001
0.1783 0.0657 0.4090
0.1783 0.9343 0.9090
0.3217 0.4343 0.9090
0.3217 0.5657 0.4090
0.3681 0.1052 0.1001
0.3681 0.8948 0.6001
0.4268 0.2865 0.5420
0.4268 0.7135 0.0420
0.5732 0.2865 0.9580
0.5732 0.7135 0.4580
0.6319 0.1052 0.3999
0.6319 0.8948 0.8999
0.6783 0.4343 0.5910
0.6783 0.5657 0.0910
0.8217 0.0657 0.0910
0.8217 0.9343 0.5910
0.8681 0.3948 0.8999
0.8681 0.6052 0.3999
0.9268 0.2135 0.4580
0.9268 0.7865 0.9580
0.0000 0.0400 0.7500
0.0000 0.4254 0.2500
0.0000 0.5746 0.7500
0.0000 0.9600 0.2500
0.2457 0.1865 0.7590
0.2457 0.8135 0.2590
0.2543 0.3135 0.2590
0.2543 0.6865 0.7590
0.5000 0.0746 0.7500
0.5000 0.4600 0.2500
0.5000 0.5400 0.7500
0.5000 0.9254 0.2500
0.7457 0.3135 0.2410
0.7457 0.6865 0.7410
0.7543 0.1865 0.7410
0.7543 0.8135 0.2410
```

---

Diffraction record for Ge3Os2. The XRD peak list is calculated, not measured: it uses a cell relaxed with PBE and Cu Ka.
Kinematic intensities with the Lorentz-polarization factor, no thermal factor.

Most intense lines, 5° ≤ 2θ ≤ 70°, low angle first:
two_theta  I/Imax
24.38  63
30.71  28
35.78  17
36.08  20
39.59  100
43.98  35
44.48  57
50.92  38
60.64  8
61.45  9
64.34  24
69.51  12

Crystal structure
```
Ge3Os2
1.0
5.8234 0.0000 0.0000
0.0000 5.8234 0.0000
0.0000 0.0000 9.3739
Ge Os
12 8
direct
0.1497 0.2824 0.4151
0.1497 0.7176 0.9151
0.2824 0.1497 0.0849
0.2824 0.8503 0.5849
0.3289 0.3289 0.7500
0.3289 0.6711 0.2500
0.6711 0.3289 0.2500
0.6711 0.6711 0.7500
0.7176 0.1497 0.5849
0.7176 0.8503 0.0849
0.8503 0.2824 0.9151
0.8503 0.7176 0.4151
0.0000 0.0000 0.2500
0.0000 0.0000 0.7500
0.0000 0.5000 0.1242
0.0000 0.5000 0.6242
0.5000 0.0000 0.3758
0.5000 0.0000 0.8758
0.5000 0.5000 0.0000
0.5000 0.5000 0.5000
```

---

Diffraction record for ScGeOs. The XRD peak list is calculated, not measured: it uses a cell relaxed with PBE and Cu Ka.
Kinematic intensities with the Lorentz-polarization factor, no thermal factor.

Most intense lines, 5° ≤ 2θ ≤ 70°, low angle first:
two_theta  I/Imax
14.59  39
25.41  45
25.70  43
36.45  100
39.26  71
39.45  57
44.78  33
47.51  76
52.81  20
61.05  14
67.34  13
67.74  29

Crystal structure
```
ScGeOs
1.0
7.0110 0.0000 0.0000
-3.5055 6.0717 0.0000
0.0000 0.0000 3.4669
Sc Ge Os
3 3 3
direct
0.0000 0.5986 0.0000
0.4014 0.4014 0.0000
0.5986 0.0000 0.0000
0.0000 0.0000 0.0000
0.3333 0.6667 0.5000
0.6667 0.3333 0.5000
0.0000 0.2561 0.5000
0.2561 0.0000 0.5000
0.7439 0.7439 0.5000
```